(1)
SmAl3Pb2O8: calculated powder diffractogram (Cu Kα), based on the GGA-PBE geometry in the Materials Project.
No peak broadening, texture or thermal motion is included.

Cell and atoms:
```
data_SmAl3Pb2O8
_chemical_formula_sum 'Sm4 Al12 Pb8 O32'
_space_group_name_H-M_alt 'P 1'
_space_group_IT_number 1
_cell_length_a 9.599
_cell_length_b 9.599
_cell_length_c 9.599
_cell_angle_alpha 90.00
_cell_angle_beta 90.00
_cell_angle_gamma 90.00
loop_
_space_group_symop_operation_xyz
'x,y,z'
loop_
_atom_site_label
_atom_site_type_symbol
_atom_site_fract_x
_atom_site_fract_y
_atom_site_fract_z
Sm1 Sm 0.000 0.000 0.000
Sm2 Sm 0.000 0.500 0.500
Sm3 Sm 0.500 0.000 0.500
Sm4 Sm 0.500 0.500 0.000
Al1 Al 0.000 0.250 0.750
Al2 Al 0.000 0.750 0.250
Al3 Al 0.250 0.000 0.750
Al4 Al 0.250 0.500 0.750
Al5 Al 0.250 0.750 0.000
Al6 Al 0.250 0.750 0.500
Al7 Al 0.500 0.250 0.750
Al8 Al 0.500 0.750 0.250
Al9 Al 0.750 0.000 0.250
Al10 Al 0.750 0.250 0.000
Al11 Al 0.750 0.250 0.500
Al12 Al 0.750 0.500 0.250
Pb1 Pb 0.117 0.117 0.383
Pb2 Pb 0.117 0.383 0.117
Pb3 Pb 0.383 0.117 0.117
Pb4 Pb 0.383 0.383 0.383
Pb5 Pb 0.617 0.617 0.617
Pb6 Pb 0.617 0.883 0.883
Pb7 Pb 0.883 0.617 0.883
Pb8 Pb 0.883 0.883 0.617
O1 O 0.093 0.093 0.764
O2 O 0.093 0.407 0.736
O3 O 0.093 0.736 0.407
O4 O 0.093 0.764 0.093
O5 O 0.139 0.139 0.139
O6 O 0.139 0.361 0.361
O7 O 0.236 0.593 0.593
O8 O 0.236 0.907 0.907
O9 O 0.264 0.593 0.907
O10 O 0.264 0.907 0.593
O11 O 0.361 0.139 0.361
O12 O 0.361 0.361 0.139
O13 O 0.407 0.093 0.736
O14 O 0.407 0.407 0.764
O15 O 0.407 0.736 0.093
O16 O 0.407 0.764 0.407
O17 O 0.593 0.236 0.593
O18 O 0.593 0.264 0.907
O19 O 0.593 0.593 0.236
O20 O 0.593 0.907 0.264
O21 O 0.639 0.639 0.861
O22 O 0.639 0.861 0.639
O23 O 0.736 0.093 0.407
O24 O 0.736 0.407 0.093
O25 O 0.764 0.093 0.093
O26 O 0.764 0.407 0.407
O27 O 0.861 0.639 0.639
O28 O 0.861 0.861 0.861
O29 O 0.907 0.236 0.907
O30 O 0.907 0.264 0.593
O31 O 0.907 0.593 0.264
O32 O 0.907 0.907 0.236
```

Most intense lines, 15 to 90 degrees two-theta, in order of rising 2θ:
2θ (°)	d (Å)	I (rel.)
27.9	3.200	100
29.4	3.036	76
30.9	2.894	66
38.7	2.328	23
39.8	2.263	46
48.3	1.883	29
49.3	1.847	35
54.0	1.697	39
54.9	1.671	25
55.8	1.646	22


(2)
AlPdO3: calculated powder diffractogram (Cu Kα), based on the GGA-PBE geometry in the Materials Project.
No peak broadening, texture or thermal motion is included.

Cell and atoms:
```
data_AlPdO3
_chemical_formula_sum 'Al2 Pd2 O6'
_space_group_name_H-M_alt 'P 1'
_space_group_IT_number 1
_cell_length_a 3.220
_cell_length_b 3.220
_cell_length_c 11.864
_cell_angle_alpha 90.00
_cell_angle_beta 90.00
_cell_angle_gamma 120.00
loop_
_space_group_symop_operation_xyz
'x,y,z'
loop_
_atom_site_label
_atom_site_type_symbol
_atom_site_fract_x
_atom_site_fract_y
_atom_site_fract_z
Al1 Al 0.333 0.667 0.250
Al2 Al 0.667 0.333 0.750
Pd1 Pd 0.000 0.000 0.000
Pd2 Pd 0.000 0.000 0.500
O1 O 0.000 0.000 0.250
O2 O 0.000 0.000 0.750
O3 O 0.333 0.667 0.087
O4 O 0.333 0.667 0.413
O5 O 0.667 0.333 0.587
O6 O 0.667 0.333 0.913
```

Most intense lines, 15 to 90 degrees two-theta, in order of rising 2θ:
2θ (°)	d (Å)	I (rel.)
30.1	2.966	49
32.1	2.789	63
33.0	2.715	19
35.6	2.524	100
44.6	2.032	78
57.1	1.613	39
57.2	1.610	40
66.0	1.415	30
72.1	1.309	16
89.9	1.091	22


(3)
AlPdO3: calculated powder diffractogram (Cu Kα), based on the GGA-PBE geometry in the Materials Project.
No peak broadening, texture or thermal motion is included.

Cell and atoms:
```
data_AlPdO3
_chemical_formula_sum 'Al4 Pd4 O12'
_space_group_name_H-M_alt 'P 1'
_space_group_IT_number 1
_cell_length_a 6.631
_cell_length_b 6.631
_cell_length_c 5.345
_cell_angle_alpha 98.43
_cell_angle_beta 98.43
_cell_angle_gamma 87.50
loop_
_space_group_symop_operation_xyz
'x,y,z'
loop_
_atom_site_label
_atom_site_type_symbol
_atom_site_fract_x
_atom_site_fract_y
_atom_site_fract_z
Al1 Al 0.107 0.278 0.293
Al2 Al 0.278 0.107 0.793
Al3 Al 0.722 0.893 0.207
Al4 Al 0.893 0.722 0.707
Pd1 Pd 0.219 0.781 0.250
Pd2 Pd 0.404 0.596 0.750
Pd3 Pd 0.596 0.404 0.250
Pd4 Pd 0.781 0.219 0.750
O1 O 0.077 0.215 0.596
O2 O 0.125 0.645 0.889
O3 O 0.215 0.077 0.096
O4 O 0.302 0.476 0.367
O5 O 0.355 0.875 0.611
O6 O 0.476 0.302 0.867
O7 O 0.524 0.698 0.133
O8 O 0.645 0.125 0.389
O9 O 0.698 0.524 0.633
O10 O 0.785 0.923 0.904
O11 O 0.875 0.355 0.111
O12 O 0.923 0.785 0.404
```

Most intense lines, 15 to 90 degrees two-theta, in order of rising 2θ:
2θ (°)	d (Å)	I (rel.)
18.9	4.690	60
30.0	2.975	33
30.2	2.959	19
34.3	2.614	100
42.5	2.127	25
42.9	2.110	15
43.7	2.072	14
60.1	1.539	17
63.7	1.460	14
63.9	1.457	16